The following is a theoretical X-ray powder pattern of EuGe7Ir3. It was derived from a crystal structure in the Materials Project, relaxed with PBE, using Cu Ka.
Neutral-atom scattering factors, no anomalous dispersion.

Structure:
```
EuGe7Ir3
1.0
3.9898 2.3035 7.0006
-3.9898 2.3035 7.0006
0.0000 -4.6071 7.0006
Eu Ge Ir
2 14 6
direct
0.0000 0.0000 0.0000
0.5000 0.5000 0.5000
0.0739 0.8499 0.6681
0.1501 0.3319 0.9261
0.1681 0.3499 0.5739
0.2500 0.2500 0.2500
0.3319 0.9261 0.1501
0.3499 0.5739 0.1681
0.4261 0.8319 0.6501
0.5739 0.1681 0.3499
0.6501 0.4261 0.8319
0.6681 0.0739 0.8499
0.7500 0.7500 0.7500
0.8319 0.6501 0.4261
0.8499 0.6681 0.0739
0.9261 0.1501 0.3319
0.0670 0.7500 0.4330
0.2500 0.5670 0.9330
0.4330 0.0670 0.7500
0.5670 0.9330 0.2500
0.7500 0.4330 0.0670
0.9330 0.2500 0.5670
```

Most intense lines, 2θ = 15–90°, by angle:
2theta  intensity
25.70  100.0
34.07  40.7
34.61  38.1
36.62  31.7
38.50  41.0
39.10  57.2
45.00  75.6
47.24  36.8
47.38  56.0
67.17  34.4

---

The following is a theoretical X-ray powder pattern of Eu3Ge4Ir4. It was derived from a crystal structure in the Materials Project, relaxed with PBE, using Cu Ka.
Neutral-atom scattering factors, no anomalous dispersion.

Structure:
```
Eu3Ge4Ir4
1.0
-3.8649 3.8649 3.8649
3.8649 -3.8649 3.8649
3.8649 3.8649 -3.8649
Eu Ge Ir
3 4 4
direct
0.0000 0.5000 0.5000
0.5000 0.0000 0.5000
0.5000 0.5000 0.0000
0.0000 0.0000 0.3777
0.0000 0.3777 0.0000
0.3777 0.0000 0.0000
0.6223 0.6223 0.6223
0.0000 0.0000 0.7362
0.0000 0.7362 0.0000
0.2638 0.2638 0.2638
0.7362 0.0000 0.0000
```

Most intense lines, 2θ = 15–90°, by angle:
2theta  intensity
16.22  47.1
28.28  44.2
32.77  60.1
36.77  100.0
40.42  31.6
43.82  49.4
50.07  42.1
52.98  21.2
68.69  26.5
82.84  22.8